Structure and theoretical PXRD pattern of Tl8Hg2Te (a structure optimized by DFT (PBE); Cu Kα X-rays).
Intensities are scaled so that the largest is 100.

The 10 most intense peaks (2θ from 10° to 90°), low angle first:
| (hkl) | two_theta | I (rel.) |
| --- | --- | --- |
| 0 2 0 | 28.97 | 76 |
| 1 0 -2 | 29.80 | 74 |
| 2 0 2 | 30.47 | 100 |
| 0 1 3 | 30.79 | 70 |
| -1 2 1 | 31.13 | 53 |
| 0 0 3 | 32.93 | 53 |
| 1 2 0 | 33.66 | 58 |
| 2 0 -1 | 34.20 | 55 |
| -1 2 2 | 34.74 | 55 |
| 1 2 3 | 35.14 | 89 |

Cell and atoms:
```
11
Lattice="6.4765 0.0000 0.0000 0.1768 6.6073 0.0000 2.7554 3.1507 8.1591" Properties=species:S:1:pos:R:3 pbc="T T T"
Tl 0.0000 0.0000 0.0000
Tl 1.5965 4.5592 3.4118
Tl 3.4629 8.3235 4.8082
Tl 3.0530 1.4903 1.4576
Tl 4.9082 5.2558 2.8593
Tl 6.3359 3.2070 6.2672
Tl 6.8075 6.4656 5.9248
Tl 6.1838 3.3505 0.3505
Hg 3.7510 5.2108 5.8723
Hg 2.7622 4.6064 0.4003
Te 6.4072 1.6009 3.1343
```